Starting from the PBE geometry in Alexandria, the X-ray diffraction stick pattern of Pm12Pr7Mg was computed for CuKα.
Peak positions follow from Bragg's law for the DFT cell and can differ from measured ones.

Structure:
```
data_Pm12Pr7Mg
_chemical_formula_sum 'Pm24 Pr14 Mg2'
_cell_length_a 11.6261
_cell_length_b 11.6261
_cell_length_c 11.6261
_cell_angle_alpha 90.00
_cell_angle_beta 90.00
_cell_angle_gamma 90.00
_symmetry_space_group_name_H-M 'I m -3 m'
_symmetry_Int_Tables_number 229
_symmetry_space_group_name_Hall '-I 4 2 3'
loop_
_atom_site_label
_atom_site_fract_x
_atom_site_fract_y
_atom_site_fract_z
Pm1 0.0000 0.2437 0.2437
Pr1 0.0000 0.0000 0.5000
Pr2 0.2500 0.2500 0.2500
Mg1 0.0000 0.0000 0.0000
```

Largest 12 diffraction maxima, low angle first, 2θ from 10° to 80°:
index, d/Å, I/Imax
2 0 0, 5.813, 35
2 2 0, 4.110, 12
2 2 2, 3.356, 68
4 0 0, 2.907, 100
4 2 0, 2.600, 19
4 4 0, 2.055, 74
4 4 2, 1.938, 10
6 2 2, 1.753, 31
4 4 4, 1.678, 26
8 0 0, 1.453, 12
6 6 2, 1.334, 12
8 4 0, 1.300, 32